(1)
The following is a theoretical PXRD pattern of Ce2Cu3Ge3. It was derived from the GGA-PBE geometry in Alexandria, using Cu Kα, 1.54184 Å.

Structure:
a = 4.1808 Å, b = 8.9865 Å, c = 8.9865 Å
α = 26.73°, β = 90.00°, γ = 90.00°
Positions (direct):
Ce 0.0000 0.0000 0.0000
Ce 0.5000 0.2089 0.2089
Cu 0.0000 0.3608 0.3608
Cu 0.0000 0.7800 0.7800
Cu 0.5000 0.5768 0.5768
Ge 0.0000 0.6420 0.6420
Ge 0.5000 0.4422 0.4422
Ge 0.5000 0.8499 0.8499

The 8 most intense peaks (15 to 90 degrees two-theta), sorted by position:
30.75 deg, d = 2.907 Å, I = 223; 33.49 deg, d = 2.676 Å, I = 472; 34.09 deg, d = 2.630 Å, I = 1000; 43.28 deg, d = 2.090 Å, I = 283; 43.57 deg, d = 2.077 Å, I = 277; 46.91 deg, d = 1.937 Å, I = 251; 55.81 deg, d = 1.647 Å, I = 214; 63.09 deg, d = 1.474 Å, I = 178

=====

(2)
The following is a theoretical PXRD pattern of Ce3Cu2Ge3. It was derived from the GGA-PBE geometry in Alexandria, using Cu Kα, 1.54184 Å.

Structure:
a = 5.7984 Å, b = 5.7984 Å, c = 14.4691 Å
α = 90.00°, β = 90.00°, γ = 136.66°
Positions (direct):
Ce 0.0813 0.9187 0.6102
Ce 0.0813 0.9187 0.8898
Ce 0.3670 0.6330 0.7500
Ce 0.6330 0.3670 0.2500
Ce 0.9187 0.0813 0.1102
Ce 0.9187 0.0813 0.3898
Cu 0.2176 0.7824 0.0951
Cu 0.2176 0.7824 0.4049
Cu 0.7824 0.2176 0.5951
Cu 0.7824 0.2176 0.9049
Ge 0.3402 0.6599 0.2500
Ge 0.3786 0.6214 0.5424
Ge 0.3786 0.6214 0.9576
Ge 0.6214 0.3786 0.0424
Ge 0.6214 0.3786 0.4576
Ge 0.6599 0.3402 0.7500

The 8 most intense peaks (15 to 90 degrees two-theta), sorted by position:
33.13 deg, d = 2.704 Å, I = 649; 33.48 deg, d = 2.677 Å, I = 1000; 35.20 deg, d = 2.549 Å, I = 209; 37.29 deg, d = 2.412 Å, I = 239; 37.63 deg, d = 2.390 Å, I = 509; 38.26 deg, d = 2.352 Å, I = 208; 41.22 deg, d = 2.190 Å, I = 239; 42.20 deg, d = 2.141 Å, I = 428

=====

(3)
The following is a theoretical PXRD pattern of Ce3CuGeS7. It was derived from the GGA-PBE geometry in Alexandria, using Cu Kα, 1.54184 Å.

Structure:
a = 10.1845 Å, b = 10.1845 Å, c = 5.8860 Å
α = 90.00°, β = 90.00°, γ = 120.00°
Positions (direct):
Ce 0.1282 0.7708 0.0000
Ce 0.2292 0.3575 0.0000
Ce 0.3575 0.1282 0.5000
Ce 0.6425 0.8718 0.0000
Ce 0.7708 0.6425 0.5000
Ce 0.8718 0.2292 0.5000
Cu 0.0000 0.0000 0.4682
Cu 0.0000 0.0000 0.9682
Ge 0.3333 0.6667 0.5811
Ge 0.6667 0.3333 0.0811
S 0.0906 0.8391 0.4810
S 0.1022 0.5194 0.7357
S 0.1609 0.2515 0.4810
S 0.2515 0.0906 0.9810
S 0.3333 0.6667 0.2042
S 0.4172 0.8978 0.7357
S 0.4806 0.5828 0.7357
S 0.5194 0.4172 0.2357
S 0.5828 0.1022 0.2357
S 0.6667 0.3333 0.7042
S 0.7485 0.9094 0.4810
S 0.8391 0.7485 0.9810
S 0.8978 0.4806 0.2357
S 0.9094 0.1609 0.9810

The 8 most intense peaks (15 to 90 degrees two-theta), sorted by position:
23.10 deg, d = 3.851 Å, I = 297; 25.23 deg, d = 3.529 Å, I = 1000; 30.37 deg, d = 2.943 Å, I = 303; 35.25 deg, d = 2.546 Å, I = 516; 36.73 deg, d = 2.447 Å, I = 553; 39.91 deg, d = 2.259 Å, I = 321; 40.91 deg, d = 2.206 Å, I = 435; 47.21 deg, d = 1.925 Å, I = 306

=====

(4)
The following is a theoretical PXRD pattern of CeSm2Cu2Ge2. It was derived from the GGA-PBE geometry in Alexandria, using Cu Kα, 1.54184 Å.

Structure:
a = 10.2067 Å, b = 10.2067 Å, c = 10.2067 Å
α = 24.31°, β = 24.31°, γ = 24.31°
Positions (direct):
Ce 0.0000 0.0000 0.0000
Sm 0.1245 0.1245 0.1245
Sm 0.8755 0.8755 0.8755
Cu 0.3972 0.3972 0.3972
Cu 0.6028 0.6028 0.6028
Ge 0.2680 0.2680 0.2680
Ge 0.7320 0.7320 0.7320

The 8 most intense peaks (15 to 90 degrees two-theta), sorted by position:
24.10 deg, d = 3.693 Å, I = 345; 31.99 deg, d = 2.798 Å, I = 778; 34.11 deg, d = 2.628 Å, I = 1000; 42.05 deg, d = 2.149 Å, I = 843; 53.79 deg, d = 1.704 Å, I = 177; 55.23 deg, d = 1.663 Å, I = 323; 63.93 deg, d = 1.456 Å, I = 347; 71.76 deg, d = 1.315 Å, I = 259

=====

> Number 4 is which compound?

CeSm2Cu2Ge2